# 1
This entry pairs a crystal structure of Si2RhNO with its theoretical powder diffractogram. Radiation: Cu Kα (weighted mean of Kα1 and Kα2). Structure: the GGA-PBE geometry in Alexandria.
Lines closer than 0.1° are merged.

Peak list (10 most intense, 2θ from 5° to 70°, in order of falling intensity)
| d (Å) | intensity | h k l |
| --- | --- | --- |
| 2.569 | 100.0 | 0 1 2 |
| 7.452 | 96.4 | 0 0 3 |
| 2.273 | 31.1 | 0 1 5 |
| 2.387 | 28.7 | 1 0 4 |
| 3.726 | 28.6 | 0 0 6 |
| 2.035 | 26.7 | 1 0 7 |
| 1.524 | 26.1 | 1 1 0 |
| 1.919 | 22.3 | 0 1 8 |
| 2.484 | 15.8 | 0 0 9 |
| 1.610 | 15.3 | 0 1 11 |

Atomic structure:
```
Si2RhNO
1.0
3.049 0.000 0.000
-1.524 2.640 0.000
0.000 0.000 22.356
Si Rh N O
6 3 3 3
Direct
0.000 0.000 0.000
0.000 0.000 0.147
0.333 0.667 0.667
0.333 0.667 0.813
0.667 0.333 0.333
0.667 0.333 0.480
0.000 0.000 0.544
0.333 0.667 0.210
0.667 0.333 0.877
0.000 0.000 0.647
0.333 0.667 0.314
0.667 0.333 0.980
0.000 0.000 0.073
0.333 0.667 0.739
0.667 0.333 0.406
```


# 2
This entry pairs a crystal structure of Si2RhNO with its theoretical powder diffractogram. Radiation: Cu Kα (weighted mean of Kα1 and Kα2). Structure: the GGA-PBE geometry in Alexandria.
Lines closer than 0.1° are merged.

Peak list (10 most intense, 2θ from 5° to 70°, in order of falling intensity)
| d (Å) | intensity | h k l |
| --- | --- | --- |
| 7.302 | 100.0 | 0 0 1 |
| 3.651 | 67.4 | 0 0 2 |
| 2.677 | 55.8 | 1 0 1 |
| 1.986 | 50.9 | 1 1 1 |
| 2.299 | 42.1 | 0 1 2 |
| 1.858 | 33.6 | 1 0 3 |
| 2.063 | 29.3 | 1 1 0 |
| 2.960 | 27.5 | 0 1 0 |
| 2.743 | 23.7 | 0 1 1 |
| 1.574 | 20.4 | 1 1 3 |

Atomic structure:
```
Si2RhNO
1.0
2.878 0.000 0.000
0.000 2.960 0.000
0.000 0.000 7.302
Si Rh N O
2 1 1 1
Direct
0.000 0.000 0.000
0.000 0.500 0.367
0.500 0.500 0.845
0.000 0.000 0.243
0.500 0.500 0.490
```


Please write out number 1 again, unchanged.
This entry pairs a crystal structure of Si2RhNO with its theoretical powder diffractogram. Radiation: Cu Kα (weighted mean of Kα1 and Kα2). Structure: the GGA-PBE geometry in Alexandria.
Lines closer than 0.1° are merged.

Peak list (10 most intense, 2θ from 5° to 70°, in order of falling intensity)
| d (Å) | intensity | h k l |
| --- | --- | --- |
| 2.569 | 100.0 | 0 1 2 |
| 7.452 | 96.4 | 0 0 3 |
| 2.273 | 31.1 | 0 1 5 |
| 2.387 | 28.7 | 1 0 4 |
| 3.726 | 28.6 | 0 0 6 |
| 2.035 | 26.7 | 1 0 7 |
| 1.524 | 26.1 | 1 1 0 |
| 1.919 | 22.3 | 0 1 8 |
| 2.484 | 15.8 | 0 0 9 |
| 1.610 | 15.3 | 0 1 11 |

Atomic structure:
```
Si2RhNO
1.0
3.049 0.000 0.000
-1.524 2.640 0.000
0.000 0.000 22.356
Si Rh N O
6 3 3 3
Direct
0.000 0.000 0.000
0.000 0.000 0.147
0.333 0.667 0.667
0.333 0.667 0.813
0.667 0.333 0.333
0.667 0.333 0.480
0.000 0.000 0.544
0.333 0.667 0.210
0.667 0.333 0.877
0.000 0.000 0.647
0.333 0.667 0.314
0.667 0.333 0.980
0.000 0.000 0.073
0.333 0.667 0.739
0.667 0.333 0.406
```